1.
Simulated powder X-ray diffraction pattern of ThZr2P for a wavelength of 1.5418 Å, from DFT lattice parameters and positions (GGA-PBE).
No peak broadening, texture or thermal motion is included.

Structure:
Unit cell a=6.296 b=3.520 c=8.829 alpha=90.00 beta=102.25 gamma=90.00
Space group Cm (No. 8)
One atom of each set of equivalent atoms:
Th  0.000  0.000  0.000 x2
Zr  0.161  0.000  0.679 x2
Zr  0.399  0.000  0.325 x2
P  0.280  0.500  0.501 x2

Main lines, low angle first (10 to 80 degrees two-theta):
- hkl 0 0 1, 2θ = 10.3°, d = 8.628 Å, I 71
- hkl 1 1 0, 2θ = 29.2°, d = 3.055 Å, I 70
- hkl 1 1 -1, 2θ = 30.0°, d = 2.981 Å, I 63
- hkl 0 0 3, 2θ = 31.1°, d = 2.876 Å, I 81
- hkl 2 0 -2, 2θ = 31.9°, d = 2.801 Å, I 63
- hkl 1 1 1, 2θ = 32.1°, d = 2.789 Å, I 88
- hkl 2 0 1, 2θ = 32.9°, d = 2.721 Å, I 87
- hkl 1 1 -2, 2θ = 34.1°, d = 2.627 Å, I 100
- hkl 1 1 2, 2θ = 37.8°, d = 2.378 Å, I 35
- hkl 3 1 -1, 2θ = 50.7°, d = 1.802 Å, I 42

---

2.
Simulated powder X-ray diffraction pattern of ThZrP2 for a wavelength of 1.5418 Å, from DFT lattice parameters and positions (GGA-PBE).
No peak broadening, texture or thermal motion is included.

Structure:
Unit cell a=3.9516 b=3.9516 c=19.2114 alpha=90.00 beta=90.00 gamma=120.00
Space group R-3m (No. 166, hexagonal axes)
One atom of each set of equivalent atoms:
Th  0.0000  0.0000  0.0000 x3
Zr  0.0000  0.0000  0.5000 x3
P  0.0000  0.0000  0.2419 x6

Main lines, low angle first (10 to 80 degrees two-theta):
- hkl 0 0 3, 2θ = 13.8°, d = 6.404 Å, I 22
- hkl 1 0 1, 2θ = 26.5°, d = 3.369 Å, I 20
- hkl 0 1 2, 2θ = 27.7°, d = 3.224 Å, I 66
- hkl 0 0 6, 2θ = 27.9°, d = 3.202 Å, I 22
- hkl 1 0 4, 2θ = 32.1°, d = 2.787 Å, I 100
- hkl 1 1 0, 2θ = 45.9°, d = 1.976 Å, I 37
- hkl 0 1 8, 2θ = 46.2°, d = 1.966 Å, I 35
- hkl 1 1 6, 2θ = 54.6°, d = 1.681 Å, I 22
- hkl 0 2 4, 2θ = 57.1°, d = 1.612 Å, I 19
- hkl 2 1 4, 2θ = 76.2°, d = 1.249 Å, I 17

---

3.
Simulated powder X-ray diffraction pattern of Ti5P3 for a wavelength of 1.5418 Å, from DFT lattice parameters and positions (GGA-PBE).
No peak broadening, texture or thermal motion is included.

Structure:
Unit cell a=9.769 b=7.423 c=6.499 alpha=90.00 beta=90.00 gamma=90.00
Space group Pnma (No. 62)
One atom of each set of equivalent atoms:
Ti  0.001  0.250  0.029 x4
Ti  0.072  0.046  0.693 x8
Ti  0.207  0.750  0.353 x4
Ti  0.224  0.250  0.341 x4
P  0.014  0.750  0.580 x4
P  0.174  0.509  0.070 x8

Main lines, low angle first (10 to 80 degrees two-theta):
- hkl 2 2 1, 2θ = 33.3°, d = 2.690 Å, I 26
- hkl 1 2 2, 2θ = 37.9°, d = 2.372 Å, I 89
- hkl 0 3 1, 2θ = 39.0°, d = 2.312 Å, I 18
- hkl 3 0 2, 2θ = 39.2°, d = 2.300 Å, I 32
- hkl 4 0 1, 2θ = 39.4°, d = 2.288 Å, I 100
- hkl 2 2 2, 2θ = 41.3°, d = 2.186 Å, I 74
- hkl 1 0 3, 2θ = 42.8°, d = 2.115 Å, I 27
- hkl 4 2 0, 2θ = 44.4°, d = 2.040 Å, I 38
- hkl 0 4 0, 2θ = 49.1°, d = 1.856 Å, I 32
- hkl 6 0 2, 2θ = 63.9°, d = 1.456 Å, I 15

---

4.
Simulated powder X-ray diffraction pattern of TmTiP2 for a wavelength of 1.5418 Å, from DFT lattice parameters and positions (GGA-PBE).
No peak broadening, texture or thermal motion is included.

Structure:
Unit cell a=3.6647 b=3.6647 c=19.1182 alpha=90.00 beta=90.00 gamma=120.00
Space group R3m (No. 160, hexagonal axes)
One atom of each set of equivalent atoms:
Tm  0.0000  0.0000  0.0000 x3
Ti  0.0000  0.0000  0.8252 x3
P  0.0000  0.0000  0.2362 x3
P  0.0000  0.0000  0.4234 x3

Main lines, low angle first (10 to 80 degrees two-theta):
- hkl 0 0 3, 2θ = 13.9°, d = 6.373 Å, I 61
- hkl 0 0 6, 2θ = 28.0°, d = 3.186 Å, I 27
- hkl 1 0 1, 2θ = 28.5°, d = 3.131 Å, I 85
- hkl 0 1 2, 2θ = 29.7°, d = 3.012 Å, I 55
- hkl 1 0 4, 2θ = 33.9°, d = 2.644 Å, I 59
- hkl 0 1 5, 2θ = 36.8°, d = 2.442 Å, I 100
- hkl 1 0 7, 2θ = 43.7°, d = 2.070 Å, I 41
- hkl 1 1 0, 2θ = 49.8°, d = 1.832 Å, I 50
- hkl 1 1 6, 2θ = 58.1°, d = 1.588 Å, I 21
- hkl 1 1 12, 2θ = 79.8°, d = 1.202 Å, I 21

---

Copy entry 2 word for word.
Simulated powder X-ray diffraction pattern of ThZrP2 for a wavelength of 1.5418 Å, from DFT lattice parameters and positions (GGA-PBE).
No peak broadening, texture or thermal motion is included.

Structure:
Unit cell a=3.9516 b=3.9516 c=19.2114 alpha=90.00 beta=90.00 gamma=120.00
Space group R-3m (No. 166, hexagonal axes)
One atom of each set of equivalent atoms:
Th  0.0000  0.0000  0.0000 x3
Zr  0.0000  0.0000  0.5000 x3
P  0.0000  0.0000  0.2419 x6

Main lines, low angle first (10 to 80 degrees two-theta):
- hkl 0 0 3, 2θ = 13.8°, d = 6.404 Å, I 22
- hkl 1 0 1, 2θ = 26.5°, d = 3.369 Å, I 20
- hkl 0 1 2, 2θ = 27.7°, d = 3.224 Å, I 66
- hkl 0 0 6, 2θ = 27.9°, d = 3.202 Å, I 22
- hkl 1 0 4, 2θ = 32.1°, d = 2.787 Å, I 100
- hkl 1 1 0, 2θ = 45.9°, d = 1.976 Å, I 37
- hkl 0 1 8, 2θ = 46.2°, d = 1.966 Å, I 35
- hkl 1 1 6, 2θ = 54.6°, d = 1.681 Å, I 22
- hkl 0 2 4, 2θ = 57.1°, d = 1.612 Å, I 19
- hkl 2 1 4, 2θ = 76.2°, d = 1.249 Å, I 17